Entry 1:
For PrHBrF, a crystal structure in Alexandria, relaxed with PBE gives the computed X-ray powder pattern in this record (CuKα).

Cell and atoms:
a = 5.9925 Å, b = 5.9925 Å, c = 5.9925 Å
α = 140.92°, β = 140.01°, γ = 57.15°
Element x y z (fractional)
1 Pr 0.0000 0.0000 0.0000
2 H 0.9149 0.4149 0.5000
3 Br 0.6547 0.6547 0.0000
4 F 0.4052 0.9052 0.5000

Main lines, low angle first (2θ = 10–90°):
Position (°2θ)  I/Imax
16.85  95
23.29  48
23.75  89
31.21  98
33.63  100
33.96  93
35.68  67
56.89  46
57.54  42
62.03  36

=====

Entry 2:
For Tb3Dy2Tm3, a crystal structure in Alexandria, relaxed with PBE gives the computed X-ray powder pattern in this record (CuKα).

Cell and atoms:
a = 10.5736 Å, b = 10.5736 Å, c = 10.5736 Å
α = 152.79°, β = 152.75°, γ = 38.89°
Element x y z (fractional)
1 Tb 0.0000 0.0000 0.0000
2 Tb 0.3756 0.8756 0.5000
3 Tb 0.6244 0.1244 0.5000
4 Dy 0.2497 0.2497 0.0000
5 Dy 0.7503 0.7503 0.0000
6 Tm 0.1250 0.6250 0.5000
7 Tm 0.5000 0.5000 0.0000
8 Tm 0.8750 0.3750 0.5000

Main lines, low angle first (2θ = 10–90°):
Position (°2θ)  I/Imax
31.10  100
36.07  51
51.93  36
61.75  28
61.84  14
64.85  12
76.46  4
84.87  18
87.56  8
87.68  8